Record 1
For HfMg14BO15, a cell relaxed with GGA-PBE gives the calculated powder X-ray diffraction pattern in this record (Cu Kα (weighted mean of Kα1 and Kα2)).

Top 10 peaks for 2θ = 10–90°, in order of falling intensity:
2θ (°), I/Imax
14.4, 100
40.5, 86
41.7, 84
42.6, 83
35.8, 70
25.1, 69
10.4, 63
59.5, 56
60.2, 54
31.2, 50

Structural model:
```
31
Lattice="4.333 0.000 0.000 0.000 8.916 0.000 0.000 0.000 8.479" Properties=species:S:1:pos:R:3 pbc="T T T"
Hf 0.000 0.000 0.000
Mg 0.000 0.000 4.478
Mg 0.000 2.107 2.295
Mg 0.000 2.464 6.538
Mg 0.000 4.458 4.345
Mg 0.000 6.452 6.538
Mg 0.000 6.808 2.295
Mg 2.167 0.000 2.318
Mg 2.167 0.000 6.483
Mg 2.167 2.274 4.414
Mg 2.167 2.406 0.165
Mg 2.167 4.458 2.248
Mg 2.167 4.458 6.611
Mg 2.167 6.510 0.165
Mg 2.167 6.642 4.414
B 0.000 4.458 0.712
O 0.000 0.000 2.337
O 0.000 2.015 0.195
O 0.000 2.243 4.351
O 0.000 4.458 2.132
O 0.000 4.458 6.278
O 0.000 6.673 4.351
O 0.000 6.901 0.195
O 2.167 0.000 0.155
O 2.167 0.000 4.412
O 2.167 2.207 2.273
O 2.167 2.350 6.534
O 2.167 4.458 0.272
O 2.167 4.458 4.258
O 2.167 6.566 6.534
O 2.167 6.709 2.273
```

=====

Record 2
For Cs2HgPdF6, a cell relaxed with GGA-PBE gives the calculated powder X-ray diffraction pattern in this record (Cu Kα (weighted mean of Kα1 and Kα2)).

Top 10 peaks for 2θ = 10–90°, in order of falling intensity:
2θ (°), I/Imax
27.6, 100
48.9, 42
39.5, 32
78.4, 22
57.1, 21
64.6, 19
71.6, 7
16.8, 5
32.5, 4
85.0, 3

Structural model:
```
10
Lattice="0.000 4.564 4.564 4.564 0.000 4.564 4.564 4.564 0.000" Properties=species:S:1:pos:R:3 pbc="T T T"
Cs 2.282 2.282 2.282
Cs 6.846 6.846 6.846
Hg 0.000 0.000 0.000
Pd 4.564 4.564 4.564
F 4.564 4.564 2.350
F 4.564 2.350 4.564
F 6.778 4.564 4.564
F 2.350 4.564 4.564
F 4.564 6.778 4.564
F 4.564 4.564 6.778
```

=====

Record 3
For TbRh2Pb, a cell relaxed with GGA-PBE gives the calculated powder X-ray diffraction pattern in this record (Cu Kα (weighted mean of Kα1 and Kα2)).

Top 10 peaks for 2θ = 10–90°, in order of falling intensity:
2θ (°), I/Imax
37.6, 100
67.9, 35
54.3, 17
80.3, 11
26.4, 8
61.3, 4
46.5, 3
86.3, 2
22.8, 1
44.4, 1

Structural model:
```
4
Lattice="0.000 3.381 3.381 3.381 0.000 3.381 3.381 3.381 0.000" Properties=species:S:1:pos:R:3 pbc="T T T"
Tb 0.000 0.000 0.000
Rh 1.691 1.691 1.691
Rh 5.072 5.072 5.072
Pb 3.381 3.381 3.381
```

=====

Record 4
For DyNp3, a cell relaxed with GGA-PBE gives the calculated powder X-ray diffraction pattern in this record (Cu Kα (weighted mean of Kα1 and Kα2)).

Top 10 peaks for 2θ = 10–90°, in order of falling intensity:
2θ (°), I/Imax
34.1, 100
39.8, 33
68.5, 28
57.1, 24
39.2, 17
67.8, 14
71.8, 12
57.5, 12
85.7, 4
84.3, 2

Structural model:
```
4
Lattice="-2.267 2.267 4.597 2.267 -2.267 4.597 2.267 2.267 -4.597" Properties=species:S:1:pos:R:3 pbc="T T T"
Dy 0.000 0.000 0.000
Np 2.267 0.000 2.298
Np 0.000 0.000 4.597
Np 0.000 2.267 2.298
```

=====

Record 5
For AlReGe, a cell relaxed with GGA-PBE gives the calculated powder X-ray diffraction pattern in this record (Cu Kα (weighted mean of Kα1 and Kα2)).

Top 10 peaks for 2θ = 10–90°, in order of falling intensity:
2θ (°), I/Imax
43.2, 100
39.0, 67
29.4, 63
73.5, 41
21.7, 38
45.0, 23
56.3, 23
81.9, 15
64.8, 14
63.5, 10

Structural model:
```
3
Lattice="-1.634 1.634 4.098 1.634 -1.634 4.098 1.634 1.634 -4.098" Properties=species:S:1:pos:R:3 pbc="T T T"
Al 0.000 0.000 0.000
Re 0.000 0.000 2.726
Ge 0.000 0.000 5.516
```

=====

Record 6
For K3GeTe3, a cell relaxed with GGA-PBE gives the calculated powder X-ray diffraction pattern in this record (Cu Kα (weighted mean of Kα1 and Kα2)).

Top 10 peaks for 2θ = 10–90°, in order of falling intensity:
2θ (°), I/Imax
27.5, 100
28.1, 70
19.2, 52
12.7, 51
27.9, 39
22.1, 37
29.0, 35
21.7, 28
16.8, 26
38.8, 25

Structural model:
```
28
Lattice="8.093 -6.958 0.000 8.093 6.958 0.000 -0.954 0.000 9.792" Properties=species:S:1:pos:R:3 pbc="T T T"
K 7.378 5.649 7.344
K 6.304 3.077 3.579
K 3.136 0.162 7.099
K 3.612 -0.162 2.203
K 9.405 3.077 1.317
K 7.378 1.349 7.344
K 7.854 -1.349 2.448
K 5.827 -3.077 8.475
K 11.620 0.162 7.588
K 12.096 -0.162 2.693
K 8.928 -3.077 6.213
K 7.854 -5.649 2.448
Ge 4.296 3.429 9.394
Ge 10.459 3.429 5.294
Ge 4.773 -3.429 4.498
Ge 10.936 -3.429 0.398
Te 6.597 5.421 0.613
Te 4.372 3.583 6.766
Te 9.112 5.421 4.283
Te 6.331 1.164 0.374
Te 10.383 3.583 7.922
Te 5.854 -1.164 5.270
Te 9.378 1.164 4.522
Te 4.849 -3.583 1.870
Te 8.901 -1.164 9.418
Te 6.120 -5.421 5.509
Te 10.860 -3.583 3.026
Te 8.635 -5.421 9.179
```

=====

Record 7
For SiO2, a cell relaxed with GGA-PBE gives the calculated powder X-ray diffraction pattern in this record (Cu Kα (weighted mean of Kα1 and Kα2)).

Top 10 peaks for 2θ = 10–90°, in order of falling intensity:
2θ (°), I/Imax
25.6, 100
23.4, 39
26.2, 22
28.2, 15
47.9, 14
19.4, 13
49.1, 9
65.0, 8
47.5, 8
73.8, 5

Structural model:
```
36
Lattice="7.594 0.000 0.000 0.000 7.594 0.000 0.000 0.000 8.778" Properties=species:S:1:pos:R:3 pbc="T T T"
Si 0.641 0.641 0.000
Si 0.909 5.120 8.742
Si 1.323 2.888 2.158
Si 2.474 6.685 4.425
Si 2.888 1.323 6.619
Si 3.156 4.437 6.583
Si 4.437 3.156 2.194
Si 4.706 6.271 2.231
Si 5.120 0.909 0.036
Si 6.271 4.706 6.547
Si 6.685 2.474 4.353
Si 6.953 6.953 4.389
O 0.425 2.855 3.507
O 0.881 6.681 0.403
O 0.913 6.713 3.986
O 0.942 4.222 1.313
O 1.042 1.547 1.284
O 1.547 1.042 7.494
O 2.250 4.839 7.867
O 2.755 5.344 5.300
O 2.855 0.425 5.270
O 2.884 2.916 2.598
O 2.916 2.884 6.180
O 3.371 6.652 3.076
O 4.222 0.942 7.465
O 4.677 4.710 1.791
O 4.710 4.677 6.986
O 4.739 7.168 0.881
O 4.839 2.250 0.911
O 5.344 2.755 3.478
O 6.047 6.552 3.105
O 6.552 6.047 5.672
O 6.652 3.371 5.702
O 6.681 0.881 8.375
O 6.713 0.913 4.792
O 7.168 4.739 7.896
```

=====

Record 8
For Li7Cu2N3, a cell relaxed with GGA-PBE gives the calculated powder X-ray diffraction pattern in this record (Cu Kα (weighted mean of Kα1 and Kα2)).

Top 10 peaks for 2θ = 10–90°, in order of falling intensity:
2θ (°), I/Imax
27.9, 100
37.1, 45
17.9, 41
49.4, 30
22.6, 23
57.3, 21
72.1, 17
57.7, 10
49.0, 10
63.3, 10

Structural model:
```
12
Lattice="3.198 1.846 3.718 -3.198 1.846 3.718 0.000 -3.693 3.718" Properties=species:S:1:pos:R:3 pbc="T T T"
Li 0.000 0.000 0.000
Li -1.068 -1.849 5.577
Li -2.135 0.000 5.577
Li 1.068 -1.849 5.577
Li -1.068 1.849 5.577
Li 2.135 0.000 5.577
Li 1.068 1.849 5.577
Cu 0.000 0.000 3.726
Cu 0.000 0.000 7.428
N 0.000 0.000 1.874
N 0.000 0.000 5.577
N 0.000 0.000 9.281
```

=====

Which formula does entry 1 have? HfMg14BO15

=====

Please write out number 8 again, unchanged.
For Li7Cu2N3, a cell relaxed with GGA-PBE gives the calculated powder X-ray diffraction pattern in this record (Cu Kα (weighted mean of Kα1 and Kα2)).

Top 10 peaks for 2θ = 10–90°, in order of falling intensity:
2θ (°), I/Imax
27.9, 100
37.1, 45
17.9, 41
49.4, 30
22.6, 23
57.3, 21
72.1, 17
57.7, 10
49.0, 10
63.3, 10

Structural model:
```
12
Lattice="3.198 1.846 3.718 -3.198 1.846 3.718 0.000 -3.693 3.718" Properties=species:S:1:pos:R:3 pbc="T T T"
Li 0.000 0.000 0.000
Li -1.068 -1.849 5.577
Li -2.135 0.000 5.577
Li 1.068 -1.849 5.577
Li -1.068 1.849 5.577
Li 2.135 0.000 5.577
Li 1.068 1.849 5.577
Cu 0.000 0.000 3.726
Cu 0.000 0.000 7.428
N 0.000 0.000 1.874
N 0.000 0.000 5.577
N 0.000 0.000 9.281
```